For Li5MnO4, a cell relaxed with GGA+U gives the computed X-ray powder pattern in this record (Cu Ka).
Intensities are scaled so that the largest is 1000.

Largest 10 diffraction maxima, by angle, 2θ from 10° to 90°:
2θ (°)  intensity
18.44  275
23.53  1000
26.95  212
33.35  298
35.50  132
36.65  135
45.61  245
55.21  111
55.56  150
60.35  124

Cell and atoms:
```
20
Lattice="4.6069 0.0000 0.0000 0.0000 4.5565 4.8103 0.0000 -4.5565 4.8103" Properties=species:S:1:pos:R:3 pbc="T T T"
Li 0.0000 0.0000 0.0000
Li 0.1216 1.9008 7.3678
Li 0.3399 2.0081 4.9729
Li 1.9636 -2.5484 4.9729
Li 2.1819 1.9008 2.5575
Li 2.3035 0.0000 4.8103
Li 2.4251 -1.9008 2.5575
Li 2.6433 2.5484 4.9729
Li 4.2671 -2.0081 4.9729
Li 4.4853 -1.9008 7.3678
Mn 0.0000 0.0000 2.6239
Mn 2.3035 0.0000 7.4342
O 0.6554 1.2953 1.3803
O 0.9801 -1.2275 3.7582
O 1.3234 3.3290 3.7582
O 1.6480 1.2953 6.1906
O 2.9589 -1.2953 6.1906
O 3.2836 -3.3290 3.7582
O 3.6268 1.2275 3.7582
O 3.9515 -1.2953 1.3803
```



For KLi2FeO3, a cell relaxed with GGA+U gives the computed X-ray powder pattern in this record (Cu Ka).
Intensities are scaled so that the largest is 1000.

Largest 10 diffraction maxima, by angle, 2θ from 10° to 90°:
2θ (°)  intensity
20.16  1000
22.22  387
29.03  611
35.60  317
37.14  914
40.17  477
40.98  269
45.34  230
52.16  262
62.18  254

Cell and atoms:
```
14
Lattice="4.4048 -3.2849 0.0000 4.4048 3.2849 0.0000 -0.0118 0.0000 6.1510" Properties=species:S:1:pos:R:3 pbc="T T T"
K 4.3989 2.1136 3.0755
K 4.4048 -2.1136 0.0000
Li 2.3545 0.0087 4.5822
Li 2.3604 -0.0087 1.5067
Li 6.3972 0.0169 4.6060
Li 6.4032 -0.0169 1.5305
Fe 4.3714 1.2209 6.1301
Fe 4.3773 -1.2209 3.0546
O 1.5242 1.0464 3.0247
O 1.5183 -1.0464 6.1002
O 4.3714 0.0033 4.5969
O 4.3774 -0.0033 1.5214
O 7.2057 1.0609 3.0495
O 7.1997 -1.0609 6.1250
```



For Li2VCrO4, a cell relaxed with GGA+U gives the computed X-ray powder pattern in this record (Cu Ka).
Intensities are scaled so that the largest is 1000.

Largest 10 diffraction maxima, by angle, 2θ from 10° to 90°:
2θ (°)  intensity
18.24  1000
35.13  270
35.47  133
36.87  102
42.70  573
43.19  277
46.97  83
56.52  94
61.82  79
62.35  301

Cell and atoms:
```
16
Lattice="5.1449 0.0000 0.0000 0.0000 6.0027 0.0000 -1.6755 0.0000 4.8673" Properties=species:S:1:pos:R:3 pbc="T T T"
Li -0.4189 0.7329 1.2168
Li -1.2567 2.2216 3.6505
Li -0.4189 3.7810 1.2168
Li -1.2567 5.2698 3.6505
V 2.1535 2.2556 1.2168
V 1.3158 3.7471 3.6505
Cr 1.3158 0.7386 3.6505
Cr 2.1535 5.2640 1.2168
O 0.5494 2.2148 2.4672
O 1.3872 3.7878 0.0335
O 1.4053 0.7489 0.0497
O 0.5675 5.2538 2.4833
O 2.9018 0.7489 2.3839
O 2.0641 5.2538 4.8176
O 2.0821 2.2148 4.8337
O 2.9199 3.7878 2.4001
```



For LiZn2Fe4O8, a cell relaxed with GGA+U gives the computed X-ray powder pattern in this record (Cu Ka).
Intensities are scaled so that the largest is 1000.

Largest 10 diffraction maxima, by angle, 2θ from 10° to 90°:
2θ (°)  intensity
17.57  203
28.77  222
29.11  154
33.61  572
34.22  1000
35.59  181
40.63  146
41.66  218
54.97  298
59.60  438

Cell and atoms:
```
15
Lattice="-3.0625 3.0701 4.4408 3.0625 -3.0701 4.4408 3.0625 3.0701 -4.4408" Properties=species:S:1:pos:R:3 pbc="T T T"
Li 0.0000 0.0000 0.0000
Zn 1.4479 3.0701 -0.8104
Zn 1.6146 0.0000 3.6305
Fe 3.0625 0.0000 0.2926
Fe 0.0000 1.6326 1.5872
Fe 0.0000 0.0000 6.6902
Fe 0.0000 4.5076 1.5872
O 1.3791 0.0000 1.3682
O 4.7458 0.0000 1.3682
O 3.0625 1.5760 -0.8482
O 3.0625 -1.4630 3.7019
O 0.0000 1.4941 3.5926
O 1.3233 3.0701 1.3618
O 1.7392 0.0000 5.8026
O 3.0625 1.4630 3.7019
```



For Fe3C9S2O9, a cell relaxed with GGA+U gives the computed X-ray powder pattern in this record (Cu Ka).
Intensities are scaled so that the largest is 1000.

Largest 10 diffraction maxima, by angle, 2θ from 10° to 90°:
2θ (°)  intensity
10.35  678
12.95  440
13.54  1000
13.92  511
14.79  621
15.32  723
15.66  845
16.07  784
30.26  526
31.59  386

Cell and atoms:
```
46
Lattice="6.8862 0.0000 0.0000 -3.3275 8.5889 0.0000 -0.9492 -1.3510 13.0774" Properties=species:S:1:pos:R:3 pbc="T T T"
Fe -0.5449 1.5778 4.4455
Fe 0.3129 2.3835 2.0977
Fe 0.3481 4.6762 3.3758
Fe 2.2614 2.5616 9.7016
Fe 2.2966 4.8543 10.9797
Fe 3.1545 5.6600 8.6319
C -3.7092 6.3096 11.5121
C -0.8692 2.1564 6.0933
C 0.4249 0.0953 4.8844
C -2.1996 6.6271 8.8445
C 0.0845 3.4553 0.6973
C -0.5386 5.9595 2.4106
C 0.6393 1.7828 9.9952
C 0.0564 5.3972 4.9748
C 1.9380 1.7822 1.5581
C 0.6716 5.4557 11.5193
C 2.5531 1.8406 8.1026
C 1.9702 5.4551 3.0822
C 3.1482 1.2783 10.6668
C 2.5251 3.7826 12.3801
C 4.8092 0.6107 4.2329
C 2.1847 7.1426 8.1930
C 3.4788 5.0815 6.9841
C 6.3188 0.9283 1.5653
S -1.4538 3.2917 3.2610
S 1.3287 2.7846 4.1016
S 1.2808 4.4533 8.9758
S 4.0634 3.9462 9.8164
O -1.0440 2.5567 7.1654
O -3.1538 7.2429 11.9280
O -0.3782 1.2566 10.1435
O -2.3183 7.7350 5.1912
O -1.0218 2.7505 12.8197
O -1.1149 6.7986 1.8662
O -1.2268 7.2397 8.9658
O -0.0904 5.8183 6.0436
O -0.3640 5.8288 11.8738
O 2.9736 1.4090 1.2036
O 2.7000 1.4195 7.0338
O 3.8364 -0.0019 4.1116
O 3.7245 0.4393 11.2112
O 3.6313 4.4873 0.2577
O 4.9279 -0.4972 7.8862
O 2.9877 5.9813 2.9339
O 5.7633 -0.0050 1.1494
O 3.6536 4.6812 5.9120
```



For Li9Mn2Co5O16, a cell relaxed with GGA+U gives the computed X-ray powder pattern in this record (Cu Ka).
Intensities are scaled so that the largest is 1000.

Largest 10 diffraction maxima, by angle, 2θ from 10° to 90°:
2θ (°)  intensity
18.27  1000
35.55  148
35.94  268
43.03  272
43.54  554
47.43  132
57.37  96
62.69  147
63.07  140
63.69  79

Cell and atoms:
```
32
Lattice="9.8466 0.0000 0.0000 0.0000 2.9221 0.0000 -1.6976 0.0000 10.1003" Properties=species:S:1:pos:R:3 pbc="T T T"
Li 0.0000 0.0000 0.0000
Li -0.8142 0.0000 4.8903
Li -0.3198 1.4611 2.4274
Li 1.7657 0.0000 3.6875
Li 4.0313 1.4611 4.8057
Li 3.2069 1.4611 10.0518
Li 4.5021 0.0000 2.4870
Li 3.7029 0.0000 7.4325
Li 8.4604 1.4611 7.4576
Mn 0.9438 0.0000 8.7351
Mn 1.3788 1.4611 6.1260
Co 2.2824 1.4611 1.4218
Co 6.2896 0.0000 6.2011
Co 5.8795 1.4611 8.7377
Co 7.1819 0.0000 1.1622
Co 6.7590 1.4611 3.6868
O 0.9779 0.0000 1.7360
O 0.5373 1.4611 4.5297
O -0.2366 1.4611 9.1958
O 0.2265 0.0000 6.8582
O 3.4169 0.0000 0.3458
O 2.1119 1.4611 8.0876
O 2.5699 0.0000 5.6922
O 3.1916 1.4611 2.9583
O 5.0493 1.4611 6.8260
O 4.6456 0.0000 9.3438
O 5.5138 0.0000 4.3091
O 5.9565 1.4611 1.7720
O 7.5252 1.4611 5.6116
O 7.1117 0.0000 8.1086
O 8.3980 1.4611 0.5214
O 7.9780 0.0000 3.0732
```